# 1
Diffraction record for CdHgS4. The powder XRD pattern is computed, not measured: it uses a cell relaxed with PBE and a wavelength of 1.5418 Å.
No peak broadening, texture or thermal motion is included.

Most intense lines, 10 to 90 degrees two-theta, in order of rising 2θ:
d 7.351, rel. 262, (1 1 0); d 5.198, rel. 538, (2 0 0); d 3.675, rel. 1000, (2 2 0); d 2.891, rel. 257, (1 0 1); d 2.599, rel. 311, (4 0 0); d 2.527, rel. 629, (2 1 1); d 2.325, rel. 307, (2 4 0); d 2.272, rel. 356, (3 0 1); d 1.711, rel. 224, (4 3 1); d 1.625, rel. 236, (2 5 1)

Atomic structure:
a b c (Å): 10.3955 10.3955 3.0101
angles (deg): 90.00 90.00 90.00
Space group I-4 (No. 82)
One atom of each set of equivalent atoms:
Cd: 0.0000 0.0000 0.0000 x2
Hg: 0.0000 0.5000 0.2500 x2
S: 0.1867 0.7126 0.7616 x8


# 2
Diffraction record for CdHgS4. The powder XRD pattern is computed, not measured: it uses a cell relaxed with PBE and a wavelength of 1.5418 Å.
No peak broadening, texture or thermal motion is included.

Most intense lines, 10 to 90 degrees two-theta, in order of rising 2θ:
d 4.043, rel. 1000, (1 0 1); d 3.887, rel. 242, (2 0 0); d 2.802, rel. 630, (1 2 1); d 2.749, rel. 594, (2 2 0); d 2.174, rel. 369, (1 1 2); d 1.962, rel. 344, (2 3 1); d 1.944, rel. 199, (4 0 0); d 1.752, rel. 205, (4 1 1); d 1.705, rel. 335, (3 1 2); d 1.477, rel. 153, (5 0 1)

Atomic structure:
a b c (Å): 7.7742 7.7742 4.7329
angles (deg): 90.00 90.00 90.00
Space group I-4 (No. 82)
One atom of each set of equivalent atoms:
Cd: 0.0000 0.0000 0.0000 x2
Hg: 0.0000 0.5000 0.2500 x2
S: 0.2149 0.7494 0.1181 x8


# 3
Diffraction record for CdHgSe2. The powder XRD pattern is computed, not measured: it uses a cell relaxed with PBE and a wavelength of 1.5418 Å.
No peak broadening, texture or thermal motion is included.

Most intense lines, 10 to 90 degrees two-theta, in order of rising 2θ:
d 7.205, rel. 60, (0 0 3); d 3.604, rel. 1000, (0 0 6); d 3.121, rel. 99, (1 0 4); d 2.207, rel. 718, (1 1 0); d 1.882, rel. 490, (1 1 6); d 1.561, rel. 119, (2 0 8); d 1.432, rel. 199, (0 1 14); d 1.274, rel. 244, (3 0 0); d 1.201, rel. 151, (2 0 14); d 1.103, rel. 82, (2 2 0)

Atomic structure:
a b c (Å): 4.4148 4.4148 21.6144
angles (deg): 90.00 90.00 120.00
Space group R3m (No. 160, hexagonal axes)
One atom of each set of equivalent atoms:
Cd: 0.0000 0.0000 0.0000 x3
Hg: 0.0000 0.0000 0.4997 x3
Se: 0.0000 0.0000 0.3740 x3
Se: 0.0000 0.0000 0.8754 x3


# 4
Diffraction record for CdHgSe2. The powder XRD pattern is computed, not measured: it uses a cell relaxed with PBE and a wavelength of 1.5418 Å.
No peak broadening, texture or thermal motion is included.

Most intense lines, 10 to 90 degrees two-theta, in order of rising 2θ:
d 4.416, rel. 44, (1 0 0); d 3.603, rel. 1000, (1 0 1); d 3.120, rel. 99, (1 1 0); d 2.207, rel. 718, (2 0 0); d 1.882, rel. 490, (2 1 1); d 1.561, rel. 80, (2 2 0); d 1.432, rel. 199, (3 0 1); d 1.274, rel. 244, (3 1 2); d 1.202, rel. 114, (3 2 1); d 1.103, rel. 54, (2 2 4)

Atomic structure:
a b c (Å): 4.4160 4.4160 6.2324
angles (deg): 90.00 90.00 90.00
Space group P-4m2 (No. 115)
One atom of each set of equivalent atoms:
Cd: 0.0000 0.0000 0.0000 x1
Hg: 0.5000 0.5000 0.5000 x1
Se: 0.0000 0.5000 0.2471 x2


Number 3 is which compound? CdHgSe2